The following is a computed powder diffractogram of CdI3N. It was derived from DFT lattice parameters and positions (GGA-PBE), using a wavelength of 1.5418 Å.
Neutral-atom scattering factors, no anomalous dispersion.

Atomic structure:
a b c (Å): 7.9716 7.9716 9.4365
angles (deg): 99.82 99.82 55.76
Element x y z (fractional)
Cd 0.2442 0.7558 0.0000
Cd 0.7558 0.2442 0.0000
I 0.1486 0.1486 0.9590
I 0.1588 0.1588 0.5214
I 0.4482 0.4482 0.7727
I 0.5518 0.5518 0.2273
I 0.8412 0.8412 0.4786
I 0.8514 0.8514 0.0410
N 0.0920 0.0920 0.3194
N 0.9080 0.9080 0.6806

Peak list (8 most intense, 10° ≤ 2θ ≤ 80°, sorted by position)
Position (°2θ)	Rel. int.
14.43	50
19.17	36
22.47	43
22.68	100
24.52	67
25.72	36
31.95	42
38.14	50